# Ba3Ta4TiO15
Calculated powder XRD pattern, Cu Kα, 1.54184 Å. Input: a DFT-relaxed cell (GGA-PBE, Alexandria).
Lines closer than 0.1° are merged.

```
data_Ba3Ta4TiO15
_symmetry_space_group_name_H-M 'P 4/m b m'
_symmetry_Int_Tables_number 127
_symmetry_space_group_name_Hall '-P 4 2ab'
_cell_length_a 12.7197
_cell_length_b 12.7197
_cell_length_c 3.9897
_cell_angle_alpha 90.00
_cell_angle_beta 90.00
_cell_angle_gamma 90.00
loop_
_atom_site_label
_atom_site_fract_x
_atom_site_fract_y
_atom_site_fract_z
Ba1 0.0000 0.0000 0.0000
Ba2 0.1627 0.3373 0.0000
Ta1 0.0744 0.7838 0.5000
Ti1 0.0000 0.5000 0.5000
O1 0.0000 0.5000 0.0000
O2 0.0051 0.3446 0.5000
O3 0.0670 0.1417 0.5000
O4 0.0788 0.7936 0.0000
O5 0.2183 0.7183 0.5000
```

Principal peaks in the range 5° ≤ 2θ ≤ 70°, sorted by position:
2θ/deg	intensity	hkl
25.25	66	3 2 0
27.30	95	2 1 1
28.94	100	4 1 0
29.94	63	2 2 1
31.45	41	4 2 0
31.59	87	3 1 1
33.92	34	3 2 1
45.47	36	0 0 2
48.64	34	6 0 1
54.80	34	4 1 2